This entry pairs a crystal structure of KRbHSeBrCl with its theoretical XRD peak list. Radiation: CuKα. Structure: a DFT-relaxed cell (GGA-PBE, Alexandria).
Neutral-atom scattering factors, no anomalous dispersion.

The 6 most intense peaks (5 to 70 degrees two-theta), by angle:
| 2θ (°) | Rel. int. | h k l |
| --- | --- | --- |
| 10.06 | 100 | 0 0 1 |
| 26.62 | 85 | -1 1 1 |
| 28.47 | 97 | 1 -1 2 |
| 32.78 | 48 | 1 1 -2 |
| 35.09 | 47 | 1 1 1 |
| 37.10 | 49 | 0 2 -1 |

Atomic structure:
a b c (Å): 4.7692 5.0268 9.1816
angles (deg): 105.57 91.54 105.35
Fractional coordinates of all 6 atoms:
K: 0.0000 0.0000 0.0000
Rb: 0.1115 0.2641 0.5795
H: 0.3996 0.3471 0.2788
Se: 0.5696 0.1354 0.2775
Br: 0.0499 0.6457 0.2662
Cl: 0.4844 0.9622 0.7674